Diffraction record for FeCoPt2. The powder diffraction line list is calculated, not measured: it uses a crystal structure in Alexandria, relaxed with GGA-PBE and Cu Kα (λ = 1.5418 Å).
Lines closer than 0.1° are merged.

Cell and atoms:
Lattice parameters (Å, degrees): 3.836 3.836 7.509 90.00 90.00 90.00
Space group I4/mmm (No. 139)
One atom of each set of equivalent atoms:
Fe  0.000  0.000  0.000 (multiplicity 2)
Co  0.000  0.000  0.500 (multiplicity 2)
Pt  0.000  0.500  0.250 (multiplicity 4)

Peak list (10 most intense, 10 to 90 degrees two-theta, in order of rising 2θ)
- 23.7 deg, d 3.755, intensity 27.3, hkl 0 0 2
- 33.0 deg, d 2.713, intensity 24.1, hkl 1 1 0
- 41.0 deg, d 2.199, intensity 100.0, hkl 1 1 2
- 47.4 deg, d 1.918, intensity 33.0, hkl 2 0 0
- 48.5 deg, d 1.877, intensity 15.4, hkl 0 0 4
- 53.7 deg, d 1.708, intensity 13.1, hkl 2 0 2
- 70.1 deg, d 1.342, intensity 20.2, hkl 2 0 4
- 83.8 deg, d 1.154, intensity 25.2, hkl 3 1 2
- 85.4 deg, d 1.136, intensity 12.1, hkl 1 1 6
- 89.0 deg, d 1.099, intensity 11.1, hkl 2 2 4